Diffraction record for Rb3Pu3RhS8. The X-ray diffraction stick pattern is simulated, not measured: it uses DFT lattice parameters and positions (PBE) and Cu Kα (λ = 1.5418 Å).
No peak broadening, texture or thermal motion is included.

Crystal structure
a b c (Å): 7.9271 7.9271 9.0518
angles (deg): 115.95 115.95 59.85
Element x y z (fractional)
Rb (0.0000, 0.0000, 0.0000)
Rb (0.0000, 0.5000, 0.0000)
Rb (0.5000, 0.0000, 0.0000)
Pu (0.0000, 0.5000, 0.5000)
Pu (0.5000, 0.0000, 0.5000)
Pu (0.5000, 0.5000, 0.5000)
Rh (0.0000, 0.0000, 0.5000)
S (0.2112, 0.2112, 0.6742)
S (0.2114, 0.7531, 0.6757)
S (0.2469, 0.7886, 0.3243)
S (0.2679, 0.2679, 0.3062)
S (0.7321, 0.7321, 0.6938)
S (0.7531, 0.2114, 0.6757)
S (0.7886, 0.2469, 0.3243)
S (0.7888, 0.7888, 0.3258)

Most intense lines, 10 to 90 degrees two-theta, in order of rising 2θ:
11.33 deg, rel. 85; 22.76 deg, rel. 32; 27.09 deg, rel. 52; 30.19 deg, rel. 100; 40.49 deg, rel. 37; 45.79 deg, rel. 22